Structure and theoretical powder diffractogram of Tl2SiAsS4 (a DFT-relaxed cell (GGA-PBE, Alexandria); CuKα).

Crystal structure
Cell lengths 5.7237, 6.3798, 6.7911 Å; angles 67.31, 86.45, 75.58 degrees
Fractional coordinates of all 8 atoms:
Tl (0.0000, 0.0000, 0.0000)
Tl (0.2773, 0.7279, 0.5974)
Si (0.5519, 0.2297, 0.4144)
As (0.0041, 0.4623, 0.0658)
S (0.1522, 0.3307, 0.4054)
S (0.5819, 0.2369, 0.7177)
S (0.6065, 0.5318, 0.1336)
S (0.7078, 0.9129, 0.3852)

The 10 most intense peaks (5 to 70 degrees two-theta), low angle first:
d_spacing, two_theta, I (rel.), hkl
5.539, 16.00, 50, 1 0 0
4.573, 19.41, 64, 1 1 0
4.230, 21.00, 44, 1 0 -1
4.072, 21.83, 100, 1 0 1
3.336, 26.72, 49, 0 1 2
3.131, 28.51, 38, 0 0 2
3.080, 28.99, 84, 0 2 1
2.771, 32.30, 52, 1 0 -2
2.570, 34.92, 43, 2 0 -1
2.288, 39.39, 60, 0 2 -1